1.
Starting from a DFT-relaxed cell (PBE+U, the Materials Project), the powder XRD pattern of Li4Mn3CoO8 was simulated for Cu Kα, 1.54184 Å.

Principal peaks in the range 2θ = 10–80°, low angle first:
index, d (Å), 2θ/deg, I (rel.)
0 0 8, 4.891, 18.14, 1000
0 1 2, 2.693, 33.27, 216
1 0 3, 2.506, 35.84, 126
1 1 -3, 2.467, 36.42, 167
0 1 10, 2.263, 39.84, 350
1 0 11, 2.069, 43.74, 256
1 1 -11, 2.034, 44.55, 241
1 -1 1, 1.536, 60.24, 82
1 1 21, 1.518, 61.03, 82
1 2 -1, 1.515, 61.18, 80
1 0 -21, 1.510, 61.38, 78
2 1 0, 1.439, 64.79, 97

a = 2.8774 Å, b = 3.0475 Å, c = 39.1538 Å
α = 87.94°, β = 89.39°, γ = 62.68°
Space group P1 (No. 1)
Asymmetric unit:
Li1 0.0000 0.0000 0.0000 x1
Li2 0.1131 0.7522 0.6253 x1
Li3 0.2299 0.5078 0.2506 x1
Li4 0.3432 0.2608 0.8765 x1
Li5 0.4987 0.0017 0.4997 x1
Li6 0.6144 0.7520 0.1253 x1
Li7 0.7289 0.5093 0.7510 x1
Li8 0.8433 0.2624 0.3761 x1
Mn1 0.0334 0.8907 0.8138 x1
Mn2 0.3097 0.3722 0.0627 x1
Mn3 0.4216 0.1294 0.6881 x1
Mn4 0.5348 0.8885 0.3133 x1
Mn5 0.8080 0.3726 0.5625 x1
Mn6 0.9229 0.1286 0.1880 x1
Co1 0.1724 0.6303 0.4378 x1
Co2 0.6698 0.6330 0.9383 x1
O1 0.0517 0.8585 0.7173 x1
O2 0.1641 0.6174 0.3424 x1
O3 0.1790 0.6430 0.5333 x1
O4 0.2923 0.4010 0.1589 x1
O5 0.3571 0.3065 0.9665 x1
O6 0.4036 0.1619 0.7847 x1
O7 0.4379 0.1015 0.5916 x1
O8 0.4852 0.9568 0.4096 x1
O9 0.5532 0.8572 0.2171 x1
O10 0.6625 0.6204 0.8430 x1
O11 0.6801 0.6437 0.0336 x1
O12 0.7911 0.4014 0.6590 x1
O13 0.8602 0.3010 0.4660 x1
O14 0.9046 0.1601 0.2842 x1
O15 0.9398 0.1004 0.0918 x1
O16 0.9819 0.9625 0.9102 x1



2.
Starting from a DFT-relaxed cell (PBE+U, the Materials Project), the powder XRD pattern of Li7Mn4CoO12 was simulated for Cu Kα, 1.54184 Å.

Principal peaks in the range 2θ = 10–80°, low angle first:
index, d (Å), 2θ/deg, I (rel.)
0 0 1, 7.159, 12.36, 69
1 1 1, 4.811, 18.44, 1000
-1 1 1, 2.578, 34.80, 144
1 1 -2, 2.467, 36.43, 121
1 -1 2, 2.463, 36.47, 130
0 2 2, 2.152, 41.99, 296
2 0 3, 2.042, 44.37, 516
1 1 4, 1.913, 47.54, 75
2 0 -3, 1.483, 62.62, 148
2 4 1, 1.479, 62.85, 141
4 2 2, 1.454, 64.02, 68
0 2 -4, 1.433, 65.08, 71

a = 5.8172 Å, b = 5.9225 Å, c = 7.7288 Å
α = 76.82°, β = 68.09°, γ = 60.78°
Space group P1 (No. 1)
Asymmetric unit:
Li1 0.0000 0.0000 0.0000 x1
Li2 0.9999 0.3339 0.6766 x1
Li3 0.4919 0.3369 0.6748 x1
Li4 0.4940 0.8379 0.6752 x1
Li5 0.4951 0.1733 0.3455 x1
Li6 0.4990 0.4958 0.9938 x1
Li7 0.9979 0.6686 0.3373 x1
Mn1 0.4962 0.0079 0.9999 x1
Mn2 0.4994 0.6638 0.3391 x1
Mn3 0.9892 0.1773 0.3412 x1
Mn4 0.9989 0.8312 0.6744 x1
Co1 0.0024 0.4950 0.0017 x1
O1 0.2169 0.0159 0.5116 x1
O2 0.2203 0.3436 0.1777 x1
O3 0.2234 0.6705 0.8392 x1
O4 0.2398 0.5399 0.5105 x1
O5 0.2411 0.1866 0.8589 x1
O6 0.2444 0.8646 0.1866 x1
O7 0.7454 0.8077 0.1570 x1
O8 0.7585 0.1302 0.8301 x1
O9 0.7577 0.4795 0.4819 x1
O10 0.7731 0.9993 0.5013 x1
O11 0.7744 0.3213 0.1696 x1
O12 0.7797 0.6546 0.8289 x1



3.
Starting from a DFT-relaxed cell (PBE+U, the Materials Project), the powder XRD pattern of Li2MnCoO4 was simulated for Cu Kα, 1.54184 Å.

Principal peaks in the range 2θ = 10–80°, low angle first:
index, d (Å), 2θ/deg, I (rel.)
0 1 -1, 4.848, 18.30, 1000
-1 1 1, 2.694, 33.25, 225
1 1 1, 2.458, 36.56, 170
0 1 3, 2.449, 36.70, 116
1 0 2, 2.401, 37.46, 90
1 -2 0, 2.264, 39.82, 352
1 2 0, 2.029, 44.65, 237
0 0 4, 2.021, 44.85, 233
0 3 1, 1.939, 46.86, 116
2 0 0, 1.520, 60.95, 81
1 -2 4, 1.501, 61.79, 155
1 2 4, 1.416, 65.99, 94

a = 3.0591 Å, b = 6.0457 Å, c = 8.0866 Å
α = 90.47°, β = 91.32°, γ = 96.25°
Space group P1 (No. 1)
Asymmetric unit:
Li1 0.0000 0.0000 0.0000 x1
Li2 0.0011 0.4968 0.5052 x1
Li3 0.4999 0.2488 0.2499 x1
Li4 0.5009 0.7462 0.7552 x1
Mn1 0.5004 0.7448 0.2500 x1
Mn2 0.9993 0.0015 0.5048 x1
Co1 0.0014 0.4952 0.0011 x1
Co2 0.4996 0.2505 0.7544 x1
O1 0.0246 0.0122 0.7458 x1
O2 0.0251 0.5020 0.2375 x1
O3 0.4768 0.2439 0.5166 x1
O4 0.4768 0.7330 0.0105 x1
O5 0.5222 0.2621 0.9890 x1
O6 0.5276 0.7542 0.4933 x1
O7 0.9738 0.9916 0.2614 x1
O8 0.9781 0.4837 0.7665 x1



4.
Starting from a DFT-relaxed cell (PBE+U, the Materials Project), the powder XRD pattern of Li5Mn2CoO8 was simulated for Cu Kα, 1.54184 Å.

Principal peaks in the range 2θ = 10–80°, low angle first:
index, d (Å), 2θ/deg, I (rel.)
0 1 -1, 4.806, 18.46, 1000
0 0 4, 4.773, 18.59, 98
0 1 -3, 3.822, 23.27, 82
0 1 7, 2.484, 36.16, 123
1 0 4, 2.466, 36.44, 251
1 1 -5, 2.059, 43.97, 888
1 2 -6, 1.592, 57.93, 157
0 2 -10, 1.471, 63.22, 76
1 3 1, 1.460, 63.73, 151
1 1 11, 1.453, 64.09, 76
-1 1 11, 1.453, 64.11, 75
2 0 0, 1.440, 64.75, 86

a = 2.8793 Å, b = 5.0832 Å, c = 19.1510 Å
α = 85.54°, β = 89.98°, γ = 89.99°
Space group P-1 (No. 2)
Asymmetric unit:
Li1 0.0000 0.0000 0.0000 x1
Li2 0.0001 0.2489 0.2492 x2
Li3 0.0000 0.5000 0.5000 x1
Li4 0.4981 0.1168 0.1277 x2
Li5 0.4977 0.6209 0.6317 x2
Li6 0.4994 0.2509 0.7524 x2
Mn1 0.0011 0.3705 0.8737 x2
Mn2 0.0027 0.8525 0.3706 x2
Co1 0.5000 0.0000 0.5000 x1
Co2 0.5000 0.5000 0.0000 x1
O1 0.9997 0.3433 0.0571 x2
O2 0.0013 0.0860 0.8213 x2
O3 0.0023 0.1450 0.4416 x2
O4 0.0025 0.5765 0.3157 x2
O5 0.4969 0.9631 0.6799 x2
O6 0.4977 0.3058 0.5694 x2
O7 0.4990 0.4529 0.1782 x2
O8 0.4994 0.7794 0.0637 x2



5.
Starting from a DFT-relaxed cell (PBE+U, the Materials Project), the powder XRD pattern of Li7Mn2Co3O12 was simulated for Cu Kα, 1.54184 Å.

Principal peaks in the range 2θ = 10–80°, low angle first:
index, d (Å), 2θ/deg, I (rel.)
0 0 2, 4.826, 18.38, 1000
6 0 0, 2.505, 35.85, 149
3 1 -1, 2.492, 36.04, 259
6 0 2, 2.081, 43.49, 289
3 1 -3, 2.074, 43.65, 579
3 1 3, 1.905, 47.74, 88
3 1 -5, 1.601, 57.55, 97
6 0 -6, 1.475, 63.03, 76
3 1 5, 1.472, 63.18, 154
9 1 -1, 1.466, 63.45, 153
0 2 0, 1.458, 63.84, 79
9 1 -3, 1.403, 66.68, 92

a = 15.2623 Å, b = 2.9163 Å, c = 9.8001 Å
α = 90.00°, β = 99.99°, γ = 90.00°
Space group C2/m (No. 12)
Asymmetric unit:
Li1 0.0000 0.0000 0.0000 x2
Li2 0.0770 0.5000 0.2439 x4
Li3 0.0816 0.0000 0.7550 x4
Li4 0.2489 0.0000 0.2541 x4
Mn1 0.1615 0.5000 0.9967 x4
Co1 0.0000 0.5000 0.5000 x2
Co2 0.1665 0.0000 0.4988 x4
O1 0.0402 0.0000 0.3836 x4
O2 0.0540 0.5000 0.8833 x4
O3 0.1270 0.5000 0.6131 x4
O4 0.1318 0.0000 0.1110 x4
O5 0.2071 0.5000 0.3829 x4
O6 0.2099 0.0000 0.8934 x4



6.
Starting from a DFT-relaxed cell (PBE+U, the Materials Project), the powder XRD pattern of Li4MnCo2O7 was simulated for Cu Kα, 1.54184 Å.

Principal peaks in the range 2θ = 10–80°, low angle first:
index, d (Å), 2θ/deg, I (rel.)
0 1 -1, 4.853, 18.28, 1000
1 0 3, 2.614, 34.30, 191
1 0 -4, 2.503, 35.88, 134
0 1 6, 2.440, 36.83, 106
0 2 -2, 2.429, 37.01, 77
1 -1 4, 2.190, 41.22, 333
1 1 -5, 2.076, 43.60, 276
0 2 5, 2.017, 44.93, 241
2 0 -1, 1.513, 61.27, 85
0 2 -9, 1.500, 61.84, 82
-1 3 1, 1.487, 62.44, 78
1 3 0, 1.460, 63.76, 91

a = 3.0304 Å, b = 5.0690 Å, c = 16.7418 Å
α = 90.08°, β = 92.41°, γ = 91.42°
Space group P1 (No. 1)
Asymmetric unit:
Li1 0.0000 0.0000 0.0000 x1
Li2 0.0614 0.6484 0.1420 x1
Li3 0.1241 0.2966 0.2844 x1
Li4 0.2779 0.5779 0.5717 x1
Li5 0.4232 0.8622 0.8581 x1
Li6 0.5623 0.1486 0.1426 x1
Li7 0.6986 0.4370 0.4271 x1
Li8 0.8504 0.7210 0.7151 x1
Mn1 0.1993 0.9299 0.4257 x1
Mn2 0.7912 0.0784 0.5721 x1
Co1 0.3599 0.2240 0.7171 x1
Co2 0.4935 0.5053 0.0060 x1
Co3 0.6140 0.7890 0.2773 x1
Co4 0.9192 0.3667 0.8595 x1
O1 0.0504 0.3367 0.0654 x1
O2 0.0634 0.9600 0.2184 x1
O3 0.1923 0.6303 0.3548 x1
O4 0.2107 0.2372 0.4976 x1
O5 0.3612 0.9201 0.6453 x1
O6 0.3900 0.5238 0.7867 x1
O7 0.4417 0.2185 0.9305 x1
O8 0.5211 0.7934 0.0622 x1
O9 0.5989 0.5016 0.2210 x1
O10 0.6378 0.0786 0.3532 x1
O11 0.7728 0.7725 0.5003 x1
O12 0.8388 0.3787 0.6449 x1
O13 0.8814 0.0644 0.7885 x1
O14 0.9163 0.6626 0.9292 x1



7.
Starting from a DFT-relaxed cell (PBE+U, the Materials Project), the powder XRD pattern of Li4MnCo2O7 was simulated for Cu Kα, 1.54184 Å.

Principal peaks in the range 2θ = 10–80°, low angle first:
index, d (Å), 2θ/deg, I (rel.)
0 1 -1, 4.849, 18.30, 1000
1 2 2, 2.492, 36.05, 133
2 0 1, 2.483, 36.17, 121
-1 1 2, 2.466, 36.43, 128
1 3 1, 2.078, 43.56, 543
1 0 -3, 2.054, 44.08, 258
1 -3 0, 1.908, 47.66, 81
1 -4 1, 1.479, 62.83, 72
1 -1 5, 1.476, 62.99, 71
2 3 -2, 1.467, 63.40, 73
3 2 3, 1.459, 63.78, 73
0 3 4, 1.454, 64.04, 70

a = 5.0326 Å, b = 6.5957 Å, c = 7.7551 Å
α = 86.19°, β = 76.73°, γ = 82.71°
Space group P1 (No. 1)
Asymmetric unit:
Li1 0.0000 0.0000 0.0000 x1
Li2 0.0628 0.8719 0.3500 x1
Li3 0.1319 0.7289 0.6989 x1
Li4 0.2711 0.4428 0.4125 x1
Li5 0.4100 0.1471 0.1389 x1
Li6 0.5771 0.8647 0.8453 x1
Li7 0.7143 0.5898 0.5510 x1
Li8 0.8511 0.2888 0.2734 x1
Mn1 0.3475 0.2937 0.7743 x1
Mn2 0.4939 0.0071 0.4848 x1
Co1 0.1920 0.5872 0.0722 x1
Co2 0.6242 0.7353 0.2011 x1
Co3 0.7679 0.4406 0.9239 x1
Co4 0.9196 0.1511 0.6296 x1
O1 0.0316 0.4162 0.6800 x1
O2 0.1086 0.2972 0.0057 x1
O3 0.1802 0.1471 0.4038 x1
O4 0.2366 0.0312 0.7232 x1
O5 0.3327 0.8512 0.0933 x1
O6 0.4018 0.7427 0.4531 x1
O7 0.4485 0.5565 0.8138 x1
O8 0.5371 0.4423 0.1552 x1
O9 0.6008 0.2757 0.5395 x1
O10 0.6591 0.1652 0.8612 x1
O11 0.7230 0.0078 0.2528 x1
O12 0.7961 0.8938 0.5920 x1
O13 0.8911 0.7144 0.9535 x1
O14 0.9552 0.5797 0.2932 x1



8.
Starting from a DFT-relaxed cell (PBE+U, the Materials Project), the powder XRD pattern of Li2MnCo3O8 was simulated for Cu Kα, 1.54184 Å.

Principal peaks in the range 2θ = 10–80°, low angle first:
index, d (Å), 2θ/deg, I (rel.)
0 0 1, 4.935, 17.98, 1000
2 0 -1, 2.502, 35.88, 232
-2 2 1, 2.444, 36.78, 104
2 0 0, 2.105, 42.97, 187
0 2 -2, 2.092, 43.25, 183
-2 2 2, 2.050, 44.17, 172
2 -2 1, 1.913, 47.52, 67
2 0 1, 1.635, 56.27, 50
0 2 -3, 1.624, 56.69, 50
-2 2 3, 1.600, 57.59, 49
2 2 -2, 1.475, 63.02, 50
-4 2 2, 1.444, 64.56, 95

a = 5.7741 Å, b = 5.7787 Å, c = 5.9455 Å
α = 91.11°, β = 118.70°, γ = 118.57°
Space group P-1 (No. 2)
Asymmetric unit:
Li1 0.0000 0.0000 0.0000 x1
Li2 0.5000 0.0000 0.0000 x1
Mn1 0.0000 0.0000 0.5000 x1
Co1 0.0000 0.5000 0.5000 x1
Co2 0.5000 0.0000 0.5000 x1
Co3 0.5000 0.5000 0.5000 x1
O1 0.0099 0.2476 0.2869 x2
O2 0.0463 0.7844 0.2939 x2
O3 0.4591 0.2155 0.7060 x2
O4 0.4918 0.7591 0.7097 x2



9.
Starting from a DFT-relaxed cell (PBE+U, the Materials Project), the powder XRD pattern of Li7Mn2Co3O12 was simulated for Cu Kα, 1.54184 Å.

Principal peaks in the range 2θ = 10–80°, low angle first:
index, d (Å), 2θ/deg, I (rel.)
0 0 1, 6.105, 14.51, 67
0 1 0, 5.707, 15.53, 93
0 1 1, 4.799, 18.49, 1000
2 1 0, 2.546, 35.26, 154
0 1 -2, 2.449, 36.70, 235
2 2 1, 2.129, 42.46, 311
0 0 3, 2.035, 44.52, 268
2 -2 0, 2.029, 44.66, 265
2 2 4, 1.475, 63.03, 76
2 2 -2, 1.468, 63.34, 227
-2 2 3, 1.449, 64.29, 70
2 -2 3, 1.425, 65.49, 73

a = 5.8818 Å, b = 5.8833 Å, c = 6.4767 Å
α = 75.40°, β = 76.67°, γ = 87.26°
Space group P1 (No. 1)
Asymmetric unit:
Li1 0.0000 0.0000 0.0000 x1
Li2 0.0029 0.4979 0.0001 x1
Li3 0.1614 0.1654 0.3346 x1
Li4 0.3225 0.8360 0.6783 x1
Li5 0.5010 0.5001 0.0005 x1
Li6 0.6743 0.1645 0.3314 x1
Li7 0.8403 0.8341 0.6738 x1
Mn1 0.4998 0.0023 0.0027 x1
Mn2 0.6748 0.6687 0.3363 x1
Co1 0.1693 0.6680 0.3371 x1
Co2 0.3232 0.3247 0.6760 x1
Co3 0.8344 0.3286 0.6693 x1
O1 0.0731 0.1050 0.6630 x1
O2 0.1007 0.5755 0.6545 x1
O3 0.2631 0.7657 0.0263 x1
O4 0.2647 0.2449 0.9929 x1
O5 0.4238 0.4450 0.3518 x1
O6 0.4417 0.9172 0.3217 x1
O7 0.5572 0.0818 0.6890 x1
O8 0.5981 0.5679 0.6536 x1
O9 0.7335 0.7532 0.0208 x1
O10 0.7345 0.2332 0.9837 x1
O11 0.9027 0.4217 0.3452 x1
O12 0.9104 0.8805 0.3402 x1



10.
Starting from a DFT-relaxed cell (PBE+U, the Materials Project), the powder XRD pattern of Li7Mn2Co3O12 was simulated for Cu Kα, 1.54184 Å.

Principal peaks in the range 2θ = 10–80°, low angle first:
index, d (Å), 2θ/deg, I (rel.)
0 1 0, 8.813, 10.04, 115
0 0 1, 4.829, 18.37, 1000
1 3 0, 2.499, 35.94, 263
2 0 -1, 2.480, 36.21, 133
1 3 1, 2.078, 43.56, 576
2 0 -2, 2.068, 43.78, 286
1 3 -2, 1.909, 47.63, 87
1 3 2, 1.603, 57.48, 95
1 3 -3, 1.474, 63.05, 153
2 0 2, 1.469, 63.30, 152
3 3 -1, 1.457, 63.88, 152
3 3 0, 1.395, 67.10, 93

a = 5.0344 Å, b = 8.8133 Å, c = 5.1138 Å
α = 90.00°, β = 109.21°, γ = 90.00°
Space group P2 (No. 3)
Asymmetric unit:
Li1 0.0000 0.0000 0.0000 x1
Li2 0.0000 0.1577 0.5000 x1
Li3 0.0000 0.3178 0.0000 x1
Li4 0.0000 0.6460 0.0000 x1
Li5 0.5000 0.1616 0.0000 x1
Li6 0.5000 0.4827 0.0000 x1
Li7 0.5000 0.8190 0.0000 x1
Mn1 0.0000 0.8246 0.5000 x1
Mn2 0.5000 0.9921 0.5000 x1
Co1 0.0000 0.4796 0.5000 x1
Co2 0.5000 0.3150 0.5000 x1
Co3 0.5000 0.6459 0.5000 x1
O1 0.2325 0.6637 0.7242 x2
O2 0.2512 0.9754 0.7209 x2
O3 0.2523 0.3293 0.7274 x2
O4 0.2530 0.8272 0.2811 x2
O5 0.2585 0.4930 0.2642 x2
O6 0.2766 0.1446 0.2655 x2